Record 1
Structure and simulated powder X-ray diffraction pattern of CsNp2CuS4 (DFT lattice parameters and positions (PBE); copper Kα).

Most intense lines, 10 to 90 degrees two-theta, sorted by position:
two_theta	d_spacing	I (rel.)	index
23.1	3.853	100	0 2 3
25.3	3.522	55	0 4 0
26.4	3.376	71	1 1 2
29.9	2.984	49	1 3 1
32.0	2.794	86	1 3 2
34.9	2.571	35	0 2 5
40.1	2.248	36	1 1 5
43.9	2.063	42	1 5 3
44.2	2.049	33	1 3 5
51.2	1.784	32	2 2 3

Crystal structure
```
data_CsNp2CuS4
_chemical_formula_sum 'Cs4 Np8 Cu4 S16'
_cell_length_a 4.0251
_cell_length_b 14.0888
_cell_length_c 13.8049
_cell_angle_alpha 90.00
_cell_angle_beta 90.00
_cell_angle_gamma 90.00
_symmetry_space_group_name_H-M 'C m c m'
_symmetry_Int_Tables_number 63
_symmetry_space_group_name_Hall '-C 2c 2'
loop_
_atom_site_label
_atom_site_type_symbol
_atom_site_fract_x
_atom_site_fract_y
_atom_site_fract_z
_atom_site_occupancy
Cs1 Cs 0.0000 0.1039 0.2500 1
Np1 Np 0.0000 0.3677 0.0576 1
Cu1 Cu 0.0000 0.1695 0.7500 1
S1 S 0.0000 0.0000 0.0000 1
S2 S 0.0000 0.2556 0.6057 1
S3 S 0.0000 0.4151 0.2500 1
```



Record 2
Structure and simulated powder X-ray diffraction pattern of MgNpTlO6 (DFT lattice parameters and positions (PBE); copper Kα).

Most intense lines, 10 to 90 degrees two-theta, sorted by position:
two_theta	d_spacing	I (rel.)	index
18.6	4.772	61	1 0 0
19.2	4.615	88	0 0 2
26.9	3.317	84	1 0 2
32.5	2.755	74	1 1 0
38.0	2.365	100	1 1 2
42.7	2.119	25	2 0 2
51.7	1.769	62	1 1 4
54.6	1.680	24	2 1 2
58.0	1.591	24	3 0 0
61.7	1.504	24	3 0 2

Crystal structure
```
data_MgNpTlO6
_chemical_formula_sum 'Mg2 Np2 Tl2 O12'
_cell_length_a 5.5098
_cell_length_b 5.5098
_cell_length_c 9.2303
_cell_angle_alpha 90.00
_cell_angle_beta 90.00
_cell_angle_gamma 120.00
_symmetry_space_group_name_H-M 'P -3 1 c'
_symmetry_Int_Tables_number 163
_symmetry_space_group_name_Hall '-P 3 2c'
loop_
_atom_site_label
_atom_site_type_symbol
_atom_site_fract_x
_atom_site_fract_y
_atom_site_fract_z
_atom_site_occupancy
Mg1 Mg 0.0000 0.0000 0.0000 1
Np1 Np 0.3333 0.6667 0.2500 1
Tl1 Tl 0.3333 0.6667 0.7500 1
O1 O 0.0370 0.3500 0.1262 1
```



Record 3
Structure and simulated powder X-ray diffraction pattern of Sm3MgCd5 (DFT lattice parameters and positions (PBE); copper Kα).

Most intense lines, 10 to 90 degrees two-theta, sorted by position:
two_theta	d_spacing	I (rel.)	index
27.8	3.210	15	0 0 2
33.9	2.641	100	3 0 0
34.1	2.627	79	1 1 2
44.4	2.039	24	3 0 2
48.9	1.863	27	2 2 2
60.7	1.525	16	3 3 0
60.9	1.522	26	4 1 2
68.4	1.371	25	3 0 4
81.6	1.180	11	5 2 2
88.4	1.105	12	3 3 4

Crystal structure
```
data_Sm3MgCd5
_chemical_formula_sum 'Sm6 Mg2 Cd10'
_cell_length_a 9.1477
_cell_length_b 9.1477
_cell_length_c 6.4195
_cell_angle_alpha 90.00
_cell_angle_beta 90.00
_cell_angle_gamma 120.00
_symmetry_space_group_name_H-M 'P 63/m c m'
_symmetry_Int_Tables_number 193
_symmetry_space_group_name_Hall '-P 6c 2'
loop_
_atom_site_label
_atom_site_type_symbol
_atom_site_fract_x
_atom_site_fract_y
_atom_site_fract_z
_atom_site_occupancy
Sm1 Sm 0.0000 0.3474 0.2500 1
Mg1 Mg 0.0000 0.0000 0.0000 1
Cd1 Cd 0.0000 0.3162 0.7500 1
Cd2 Cd 0.3333 0.6667 0.0000 1
```



Which formula does entry 3 have?
Sm3MgCd5



Which formula does entry 1 have?
CsNp2CuS4